Diffraction record for PmAlZn2Ni2. The powder diffractogram is calculated, not measured: it uses the GGA-PBE geometry in Alexandria and CuKα.

Crystal structure
Lattice parameters (Å, degrees): 4.3593 4.3593 5.6988 90.00 90.00 90.00
Space group P4/mmm (No. 123)
Unique sites:
1 Pm 0.0000 0.0000 0.0000 (multiplicity 1)
2 Al 0.0000 0.0000 0.5000 (multiplicity 1)
3 Zn 0.5000 0.5000 0.2498 (multiplicity 2)
4 Ni 0.0000 0.5000 0.5000 (multiplicity 2)

Most intense lines, 2θ from 5° to 70°, in order of rising 2θ:
(hkl)	Position (°2θ)	intensity
1 0 1	25.73	38
1 1 0	28.97	35
0 0 2	31.39	11
1 1 1	33.04	90
1 0 2	37.72	100
2 0 0	41.43	76
2 1 1	49.41	13
2 0 2	52.89	10
1 1 3	56.94	18
2 1 2	57.26	58
2 2 0	60.02	24
0 0 4	65.52	9

Diffraction record for PrAl9Ni2. The powder diffractogram is calculated, not measured: it uses the GGA-PBE geometry in Alexandria and CuKα.

Crystal structure
Lattice parameters (Å, degrees): 10.5669 10.5669 7.0499 90.00 90.00 90.00
Space group I4_1/amd (No. 141, origin choice 2)
Unique sites:
1 Pr 0.0000 0.2500 0.3750 (multiplicity 4)
2 Al 0.0000 0.2500 0.8750 (multiplicity 4)
3 Al 0.1230 0.0508 0.6887 (multiplicity 32)
4 Ni 0.0000 0.0000 0.0000 (multiplicity 8)

Most intense lines, 2θ from 5° to 70°, in order of rising 2θ:
(hkl)	Position (°2θ)	intensity
2 0 0	16.78	22
2 1 1	22.65	100
1 1 2	27.99	36
3 2 1	33.10	76
4 0 0	33.93	30
3 1 2	37.07	99
4 2 0	38.09	58
1 0 3	39.28	43
4 2 2	46.26	36
5 2 1	48.14	25
2 2 4	57.85	23
5 5 2	68.16	24

Diffraction record for Pr2Al6Ni3. The powder diffractogram is calculated, not measured: it uses the GGA-PBE geometry in Alexandria and CuKα.

Crystal structure
Lattice parameters (Å, degrees): 7.5726 7.5726 4.1068 90.00 90.00 120.00
Space group P-62m (No. 189)
Unique sites:
1 Pr 0.3333 0.6667 0.0000 (multiplicity 2)
2 Al 0.0000 0.2983 0.5000 (multiplicity 3)
3 Al 0.0000 0.7982 0.0000 (multiplicity 3)
4 Ni 0.0000 0.6344 0.5000 (multiplicity 3)

Most intense lines, 2θ from 5° to 70°, in order of rising 2θ:
(hkl)	Position (°2θ)	intensity
1 0 0	13.50	25
1 1 0	23.50	24
1 0 1	25.59	8
1 1 1	32.15	100
2 0 1	35.02	17
2 1 0	36.24	14
3 0 0	41.30	38
2 1 1	42.60	26
0 0 2	44.10	16
2 2 1	53.28	21
3 0 2	62.01	22
4 1 1	69.57	23

Diffraction record for PrAl2Ni3. The powder diffractogram is calculated, not measured: it uses the GGA-PBE geometry in Alexandria and CuKα.

Crystal structure
Lattice parameters (Å, degrees): 5.3367 5.3367 3.8290 90.00 90.00 120.00
Space group P6/mmm (No. 191)
Unique sites:
1 Pr 0.0000 0.0000 0.0000 (multiplicity 1)
2 Al 0.3333 0.6667 0.0000 (multiplicity 2)
3 Ni 0.0000 0.5000 0.5000 (multiplicity 3)

Most intense lines, 2θ from 5° to 70°, in order of rising 2θ:
(hkl)	Position (°2θ)	intensity
1 0 0	19.20	10
1 0 1	30.31	100
1 1 0	33.59	20
2 0 0	38.98	75
1 1 1	41.24	90
2 0 1	45.87	6
0 0 2	47.49	22
2 1 1	58.03	31
1 1 2	59.42	8
3 0 0	60.05	4
2 0 2	63.06	34
3 0 1	65.28	22

Diffraction record for Pr3Al4Ni4. The powder diffractogram is calculated, not measured: it uses the GGA-PBE geometry in Alexandria and CuKα.

Crystal structure
Lattice parameters (Å, degrees): 7.5593 7.5593 7.5593 90.00 90.00 90.00
Space group I-43m (No. 217)
Unique sites:
1 Pr 0.0000 0.0000 0.5000 (multiplicity 6)
2 Al 0.1318 0.1318 0.1318 (multiplicity 8)
3 Ni 0.1868 0.1868 0.8132 (multiplicity 8)

Most intense lines, 2θ from 5° to 70°, in order of rising 2θ:
(hkl)	Position (°2θ)	intensity
2 0 0	23.54	21
2 1 1	28.93	38
2 2 0	33.53	100
3 1 0	37.63	41
2 2 2	41.38	14
3 2 1	44.86	10
4 0 0	48.15	6
4 1 1	51.27	17
4 2 0	54.27	31
3 3 2	57.15	13
4 2 2	59.95	23
5 2 1	67.92	7

Diffraction record for Pr8AlNi2. The powder diffractogram is calculated, not measured: it uses the GGA-PBE geometry in Alexandria and CuKα.

Crystal structure
Lattice parameters (Å, degrees): 9.0407 13.7992 5.3541 90.00 103.89 90.00
Space group Cm (No. 8)
Unique sites:
1 Pr 0.0000 0.0000 0.0000 (multiplicity 2)
2 Pr 0.0766 0.3759 0.7579 (multiplicity 4)
3 Pr 0.1890 0.1248 0.6209 (multiplicity 4)
4 Pr 0.2661 0.5000 0.3775 (multiplicity 2)
5 Pr 0.3840 0.2483 0.1885 (multiplicity 4)
6 Al 0.3831 0.0000 0.1892 (multiplicity 2)
7 Ni 0.3817 0.3143 0.6874 (multiplicity 4)

Most intense lines, 2θ from 5° to 70°, in order of rising 2θ:
(hkl)	Position (°2θ)	intensity
2 2 0	24.03	23
2 2 -1	26.58	29
2 0 1	29.63	64
0 4 1	31.12	100
3 1 -1	31.96	61
2 4 0	33.03	57
1 1 -2	34.17	36
3 3 0	36.40	32
0 2 2	36.97	25
4 2 0	43.29	23
2 4 2	52.24	29
2 8 1	61.98	32